Calculated powder XRD pattern
Compound: AcDy3Tm7
Radiation: λ = 1.5418 Å (Cu Kα)
Structure: a DFT-relaxed cell (GGA-PBE, Alexandria)

Crystal structure
```
AcDy3Tm7
1.0
7.0291 0.0000 0.0000
-3.5145 6.0874 0.0000
0.0000 0.0000 8.6182
Ac Dy Tm
1 3 7
Cartesian
0.0000 0.0000 0.0000
0.0000 2.0511 5.6850
-1.7382 5.0618 5.6850
1.7382 5.0618 5.6850
-1.7440 3.0514 0.0204
0.0000 4.0582 2.8462
1.7616 1.0170 2.8680
1.7440 3.0514 0.0204
0.0000 6.0720 0.0204
5.2675 1.0170 2.8680
3.5145 4.0533 2.8680
```

Principal peaks in the range 2θ from 5° to 70°, sorted by position:
2θ = 10.26°, I 47; 2θ = 14.55°, I 47; 2θ = 17.84°, I 39; 2θ = 25.33°, I 22; 2θ = 27.41°, I 22; 2θ = 31.16°, I 1000; 2θ = 32.89°, I 13; 2θ = 36.13°, I 509; 2θ = 40.58°, I 12; 2θ = 52.02°, I 359; 2θ = 61.89°, I 427; 2θ = 64.97°, I 123


Calculated powder XRD pattern
Compound: AcDy12Tm7
Radiation: λ = 1.5418 Å (Cu Kα)
Structure: a DFT-relaxed cell (GGA-PBE, Alexandria)

Crystal structure
```
AcDy12Tm7
1.0
6.0093 3.4695 5.2018
-6.0093 3.4695 5.2018
0.0000 -6.9389 5.2018
Ac Dy Tm
1 12 7
Cartesian
0.0000 0.0000 0.0000
-2.1530 -2.1199 6.5287
-3.4660 1.1089 5.9566
0.7727 -3.5560 5.9566
-2.6933 -2.4472 9.6486
-2.9124 0.8046 9.0766
-0.7594 2.9245 6.5287
0.7594 -2.9245 9.0766
2.9124 -0.8046 6.5287
2.6933 2.4472 5.9567
-0.7727 3.5561 9.6486
3.4660 -1.1089 9.6486
2.1530 2.1199 9.0766
-0.5687 -1.9643 3.1564
-1.4168 1.4747 3.1564
1.9855 0.4896 3.1564
0.0000 0.0000 7.8026
-1.9855 -0.4896 12.4489
1.4168 -1.4747 12.4489
0.5687 1.9643 12.4489
```

Principal peaks in the range 2θ from 5° to 70°, sorted by position:
2θ = 28.60°, I 132; 2θ = 29.89°, I 302; 2θ = 30.98°, I 264; 2θ = 31.52°, I 1000; 2θ = 32.32°, I 493; 2θ = 33.09°, I 575; 2θ = 33.48°, I 221; 2θ = 37.69°, I 147; 2θ = 52.35°, I 133; 2θ = 53.57°, I 144; 2θ = 55.12°, I 317; 2θ = 58.12°, I 145


Calculated powder XRD pattern
Compound: AcDy8Tm6
Radiation: λ = 1.5418 Å (Cu Kα)
Structure: a DFT-relaxed cell (GGA-PBE, Alexandria)

Crystal structure
```
AcDy8Tm6
1.0
4.8013 2.7721 6.0083
-4.8013 2.7721 6.0083
0.0000 -5.5441 6.0083
Ac Dy Tm
1 8 6
Cartesian
0.0000 0.0000 0.0000
-3.8501 0.3836 7.8190
-2.2573 -3.1424 10.2060
0.0000 0.0000 4.3125
1.5928 -3.5261 7.8190
-1.5928 3.5261 10.2060
0.0000 0.0000 13.7125
2.2573 3.1424 7.8190
3.8501 -0.3836 10.2060
-1.2480 -1.7298 7.3541
-2.1220 0.2159 10.6709
-0.8740 1.9457 7.3541
0.8740 -1.9457 10.6709
2.1220 -0.2159 7.3541
1.2480 1.7298 10.6709
```

Principal peaks in the range 2θ from 5° to 70°, sorted by position:
2θ = 28.83°, I 138; 2θ = 29.22°, I 128; 2θ = 29.74°, I 310; 2θ = 30.11°, I 1000; 2θ = 32.29°, I 178; 2θ = 34.80°, I 899; 2θ = 35.24°, I 174; 2θ = 49.79°, I 248; 2θ = 50.28°, I 240; 2θ = 59.51°, I 131; 2θ = 59.75°, I 130; 2θ = 62.60°, I 130


Calculated powder XRD pattern
Compound: AcDyY3Tm
Radiation: λ = 1.5418 Å (Cu Kα)
Structure: a DFT-relaxed cell (GGA-PBE, Alexandria)

Crystal structure
```
AcDyY3Tm
1.0
11.5200 -2.6992 0.0000
11.5200 2.6992 0.0000
-1.0061 0.0000 6.9360
Ac Dy Y Tm
2 2 6 2
Cartesian
2.4425 0.0000 3.3438
19.5914 0.0000 3.5922
8.9008 0.0000 6.1463
13.1331 0.0000 0.7897
-0.2718 0.0000 5.4327
5.6340 0.0000 4.7960
7.1592 0.0000 1.4933
14.8747 0.0000 5.4427
16.3999 0.0000 2.1400
22.3057 0.0000 1.5034
3.8341 0.0000 0.1687
18.1999 0.0000 6.7674
```

Principal peaks in the range 2θ from 5° to 70°, sorted by position:
2θ = 15.55°, I 199; 2θ = 20.87°, I 158; 2θ = 29.94°, I 734; 2θ = 31.49°, I 1000; 2θ = 32.09°, I 719; 2θ = 32.20°, I 336; 2θ = 33.19°, I 497; 2θ = 46.88°, I 417; 2θ = 56.44°, I 159; 2θ = 58.23°, I 206; 2θ = 60.44°, I 147; 2θ = 62.80°, I 149


Calculated powder XRD pattern
Compound: AcDy5Y2
Radiation: λ = 1.5418 Å (Cu Kα)
Structure: a DFT-relaxed cell (GGA-PBE, Alexandria)

Crystal structure
```
AcDy5Y2
1.0
7.2278 0.0000 0.0000
0.0000 14.4537 0.0000
0.0000 0.0000 5.0794
Ac Dy Y
2 10 4
Cartesian
0.0000 0.0000 0.0000
3.6139 7.2268 0.0000
0.0008 3.6620 0.0000
0.0000 7.2268 0.0000
7.2271 10.7916 0.0000
1.7781 5.3775 2.5397
1.8358 12.6043 2.5397
3.6139 0.0000 0.0000
3.6147 3.5648 0.0000
3.6132 10.8888 0.0000
5.3920 1.8493 2.5397
5.4497 9.0762 2.5397
1.7838 9.0791 2.5397
1.8301 1.8523 2.5397
5.3977 12.6014 2.5397
5.4440 5.3746 2.5397
```

Principal peaks in the range 2θ from 5° to 70°, sorted by position:
2θ = 17.35°, I 24; 2θ = 17.46°, I 24; 2θ = 24.67°, I 44; 2θ = 30.36°, I 1000; 2θ = 35.12°, I 339; 2θ = 35.34°, I 167; 2θ = 39.46°, I 21; 2θ = 50.51°, I 121; 2θ = 50.68°, I 240; 2θ = 60.08°, I 286; 2θ = 60.37°, I 142; 2θ = 63.15°, I 123


Calculated powder XRD pattern
Compound: Ac2Dy12Y5
Radiation: λ = 1.5418 Å (Cu Kα)
Structure: a DFT-relaxed cell (GGA-PBE, Alexandria)

Crystal structure
```
Ac2Dy12Y5
1.0
6.7449 0.0000 0.0000
3.3523 8.1996 0.0000
2.7362 1.7212 11.4702
Ac Dy Y
2 12 5
Cartesian
2.3218 0.9435 4.1586
10.5117 8.9773 7.3116
3.1542 4.5213 2.7886
4.1330 7.4285 1.4231
3.9388 2.4990 7.0896
7.1229 7.4076 7.6313
6.1745 4.3840 8.7840
8.5203 9.4303 10.1046
4.3131 0.4905 1.3656
6.6589 5.5368 2.6862
5.7106 2.5132 3.8389
8.8947 7.4218 4.3805
8.7005 2.4923 10.0471
9.6793 5.3994 8.6816
1.5095 2.4774 0.5318
4.7727 5.5788 5.7068
5.0486 4.0998 0.0000
8.0608 4.3420 5.7634
11.3240 7.4434 10.9384
```

Principal peaks in the range 2θ from 5° to 70°, sorted by position:
2θ = 29.88°, I 200; 2θ = 31.26°, I 239; 2θ = 31.52°, I 1000; 2θ = 32.79°, I 65; 2θ = 34.69°, I 47; 2θ = 43.78°, I 69; 2θ = 44.22°, I 72; 2θ = 46.12°, I 73; 2θ = 53.80°, I 46; 2θ = 55.81°, I 61; 2θ = 56.09°, I 88; 2θ = 65.83°, I 61


Calculated powder XRD pattern
Compound: AcDy2Y3
Radiation: λ = 1.5418 Å (Cu Kα)
Structure: a DFT-relaxed cell (GGA-PBE, Alexandria)

Crystal structure
```
AcDy2Y3
1.0
4.5880 -4.9972 0.0000
4.5880 4.9972 0.0000
-1.9125 0.0000 8.8862
Ac Dy Y
2 4 6
Cartesian
3.1536 4.2281 6.6646
4.1099 -4.2281 2.2215
2.7301 2.4510 3.3232
5.4896 2.4510 1.1199
1.7739 -2.4510 7.7663
4.5334 -2.4510 5.5630
2.4070 0.8802 0.0547
1.4507 -0.8802 4.4978
3.1536 0.8259 6.6646
4.1099 -0.8259 2.2215
5.8128 0.8802 4.3884
4.8565 -0.8802 8.8315
```

Principal peaks in the range 2θ from 5° to 70°, sorted by position:
2θ = 30.84°, I 672; 2θ = 31.05°, I 1000; 2θ = 31.18°, I 359; 2θ = 44.30°, I 242; 2θ = 44.64°, I 124; 2θ = 51.45°, I 82; 2θ = 55.04°, I 192; 2θ = 55.16°, I 133; 2θ = 55.39°, I 127; 2θ = 61.14°, I 142; 2θ = 61.46°, I 103; 2θ = 64.71°, I 81


Calculated powder XRD pattern
Compound: Ac4DyY3
Radiation: λ = 1.5418 Å (Cu Kα)
Structure: a DFT-relaxed cell (GGA-PBE, Alexandria)

Crystal structure
```
Ac4DyY3
1.0
5.4053 0.0000 0.0000
0.0000 10.8105 0.0000
0.0000 0.0000 10.4910
Ac Dy Y
8 2 6
Cartesian
1.3513 10.8067 1.4347
1.3513 2.7026 9.0458
1.3513 5.4090 1.4347
1.3513 8.1078 9.0625
4.0539 0.0038 9.0563
4.0539 2.7026 1.4285
4.0539 5.4015 9.0563
4.0539 8.1078 1.4452
1.3513 8.1078 4.0933
4.0539 2.7026 6.3977
1.3513 10.8080 6.3957
1.3513 2.7026 4.1003
1.3513 5.4077 6.3957
4.0539 0.0025 4.0953
4.0539 5.4028 4.0953
4.0539 8.1078 6.3906
```

Principal peaks in the range 2θ from 5° to 70°, sorted by position:
2θ = 8.43°, I 120; 2θ = 24.79°, I 130; 2θ = 28.90°, I 1000; 2θ = 33.15°, I 360; 2θ = 34.20°, I 171; 2θ = 42.26°, I 64; 2θ = 47.58°, I 133; 2θ = 48.36°, I 236; 2θ = 49.56°, I 65; 2θ = 56.64°, I 309; 2θ = 58.01°, I 115; 2θ = 59.89°, I 120